Diffraction record for InCoRu. The X-ray powder pattern is calculated, not measured: it uses a cell relaxed with PBE and CuKα.
No peak broadening, texture or thermal motion is included.

Structure:
```
6
Lattice="2.0496 -5.4922 0.0000 2.0496 5.4922 0.0000 0.0000 0.0000 4.0535" Properties=species:S:1:pos:R:3 pbc="T T T"
In 0.0000 0.0000 0.0000
In 2.0496 0.0000 2.0268
Co 2.0496 3.4662 2.0268
Co 2.0496 -3.4662 2.0268
Ru 2.0496 1.9564 0.0000
Ru 2.0496 -1.9564 0.0000
```

Largest 10 diffraction maxima, by angle, 2θ from 10° to 80°:
| two_theta | I (rel.) |
| --- | --- |
| 32.11 | 52 |
| 39.80 | 1000 |
| 44.19 | 192 |
| 44.71 | 185 |
| 49.81 | 119 |
| 64.68 | 118 |
| 68.75 | 82 |
| 69.15 | 81 |
| 78.33 | 128 |
| 79.07 | 125 |